1.
Computed PXRD pattern
Compound: SrMg6Bi
Radiation: Cu Kα (weighted mean of Kα1 and Kα2)
Structure: a cell relaxed with GGA-PBE
No peak broadening, texture or thermal motion is included.

Atomic structure:
```
16
Lattice="5.2456 0.0000 0.0000 0.0000 6.9999 0.0000 0.0000 0.0000 11.8325" Properties=species:S:1:pos:R:3 pbc="T T T"
Sr 0.0000 0.0000 0.0000
Sr 0.0000 3.4999 5.9163
Mg 0.0000 0.0000 6.0392
Mg 0.0000 1.6925 2.9368
Mg 0.0000 1.8074 8.8531
Mg 0.0000 3.4999 0.1229
Mg 0.0000 5.1925 8.8531
Mg 0.0000 5.3074 2.9368
Mg 2.6228 0.0000 4.0139
Mg 2.6228 1.5743 7.0383
Mg 2.6228 1.9256 1.1221
Mg 2.6228 3.4999 9.9302
Mg 2.6228 5.0743 1.1221
Mg 2.6228 5.4256 7.0383
Bi 2.6228 0.0000 9.7953
Bi 2.6228 3.4999 3.8790
```

Main lines, in order of rising 2θ (2θ from 5° to 70°):
| d/Å | Rel. int. |
| --- | --- |
| 6.025 | 100 |
| 5.916 | 23 |
| 3.956 | 46 |
| 3.925 | 43 |
| 3.012 | 25 |
| 2.874 | 45 |
| 2.623 | 30 |
| 2.612 | 91 |
| 2.577 | 42 |
| 2.405 | 22 |

2.
Computed PXRD pattern
Compound: ScSe3N3O12
Radiation: Cu Kα (weighted mean of Kα1 and Kα2)
Structure: a cell relaxed with GGA-PBE
No peak broadening, texture or thermal motion is included.

Atomic structure:
```
38
Lattice="7.8133 4.5110 3.4024 -7.8133 4.5110 3.4024 0.0000 -9.0221 3.4024" Properties=species:S:1:pos:R:3 pbc="T T T"
Sc 0.0000 0.0000 0.0000
Sc 0.0000 0.0000 5.0841
Se -1.4764 -2.0688 2.5347
Se -1.0534 2.3131 2.5347
Se 2.5299 -0.2442 2.5347
Se -2.4922 0.1659 7.6364
Se 1.1025 -2.2413 7.6364
Se 1.3898 2.0754 7.6364
N -4.2720 0.9966 4.0018
N 1.2729 -4.1979 4.0018
N -3.0078 -3.1014 6.6069
N 2.9991 3.2014 4.0018
N -1.1819 4.1555 6.6069
N 4.1898 -1.0542 6.6069
O 6.1151 0.7918 5.9133
O -2.9870 -1.3280 2.5672
O -0.5723 -1.6379 1.1913
O -1.1323 1.3146 1.1913
O -2.3718 -5.6918 5.9133
O 1.7046 0.3233 1.1913
O -0.6084 -1.6279 3.8988
O 2.6435 -1.9228 2.5671
O -1.1056 1.3409 3.8988
O 0.3434 3.2508 2.5671
O -3.9990 -0.5921 7.6110
O -1.6616 -0.3749 6.2899
O 1.7141 0.2871 3.8988
O -3.7433 4.8999 5.9133
O -0.1701 -3.3051 7.6264
O -2.7773 1.7998 7.6264
O 1.1555 -1.2515 6.2899
O 0.5061 1.6264 6.2899
O -1.6812 -0.3534 9.0073
O 2.5123 -3.1672 7.6110
O 1.1466 -1.2793 9.0074
O 0.5346 1.6327 9.0074
O 1.4867 3.7593 7.6110
O 2.9473 1.5053 7.6264
```

Main lines, in order of rising 2θ (2θ from 5° to 70°):
| d/Å | Rel. int. |
| --- | --- |
| 7.813 | 100 |
| 4.775 | 51 |
| 4.573 | 92 |
| 3.613 | 63 |
| 3.523 | 78 |
| 3.119 | 17 |
| 3.024 | 25 |
| 2.970 | 39 |
| 2.566 | 21 |
| 1.694 | 17 |

3.
Computed PXRD pattern
Compound: NpI2O6
Radiation: Cu Kα (weighted mean of Kα1 and Kα2)
Structure: a cell relaxed with GGA-PBE
No peak broadening, texture or thermal motion is included.

Atomic structure:
```
36
Lattice="12.9755 0.0000 0.0000 0.0000 12.9755 0.0000 0.0000 0.0000 5.2674" Properties=species:S:1:pos:R:3 pbc="T T T"
Np 0.0000 0.0000 0.0000
Np 0.0000 6.4878 2.6337
Np 6.4878 0.0000 2.6337
Np 6.4878 6.4878 0.0000
I 0.1758 2.9721 2.6131
I 2.9721 6.3119 0.0206
I 3.5157 0.1758 0.0206
I 6.3119 3.5157 2.6131
I 6.6636 9.4599 2.6543
I 9.4599 12.7997 5.2468
I 10.0034 6.6636 5.2468
I 12.7997 10.0034 2.6543
O 0.3557 8.3932 3.6231
O 0.4323 11.2304 3.9385
O 0.9249 1.1002 4.0378
O 1.1002 5.5629 3.8632
O 1.7451 6.9201 1.3048
O 1.9054 12.6198 0.9894
O 4.5823 6.8435 0.9894
O 4.7426 12.5432 1.3048
O 5.3875 0.9249 3.8632
O 5.5629 5.3875 4.0378
O 6.0554 8.2329 3.9385
O 6.1320 11.0701 3.6231
O 6.8435 1.9054 1.6443
O 6.9201 4.7426 1.3289
O 7.4126 7.5880 1.2296
O 7.5880 12.0507 1.4041
O 8.2329 0.4323 3.9626
O 8.3932 6.1320 4.2780
O 11.0701 0.3557 4.2780
O 11.2304 6.0554 3.9626
O 11.8753 7.4126 1.4041
O 12.0507 11.8753 1.2296
O 12.5432 1.7451 1.3289
O 12.6198 4.5823 1.6443
```

Main lines, in order of rising 2θ (2θ from 5° to 70°):
| d/Å | Rel. int. |
| --- | --- |
| 6.488 | 86 |
| 4.568 | 42 |
| 4.090 | 54 |
| 3.240 | 100 |
| 2.645 | 25 |
| 2.542 | 22 |
| 2.293 | 20 |
| 2.045 | 27 |
| 1.733 | 16 |
| 1.621 | 20 |

4.
Computed PXRD pattern
Compound: Li9Ru10O30
Radiation: Cu Kα (weighted mean of Kα1 and Kα2)
Structure: a cell relaxed with GGA-PBE
No peak broadening, texture or thermal motion is included.

Atomic structure:
```
49
Lattice="7.9803 0.0000 0.0000 3.5290 8.4847 0.0000 2.5285 0.5720 9.2158" Properties=species:S:1:pos:R:3 pbc="T T T"
Li 0.0000 0.0000 0.0000
Li 3.0212 2.0126 5.5272
Li 3.4968 3.5223 1.8910
Li 6.5138 5.5596 7.3589
Li 7.0442 7.0075 3.6702
Li 6.9935 2.0492 5.5457
Li 7.5239 3.4971 1.8569
Li 10.5409 5.5344 7.3248
Li 11.0165 7.0441 3.6886
Ru 3.7999 3.3755 9.0973
Ru 2.3664 0.6647 1.7870
Ru 4.7807 6.2954 1.7525
Ru 5.7777 4.1947 3.7902
Ru 4.7700 1.2932 3.5781
Ru 9.2677 7.7635 5.6378
Ru 8.2600 4.8620 5.4256
Ru 9.2570 2.7613 7.4634
Ru 11.6713 8.3920 7.4288
Ru 10.2378 5.6812 0.1185
O 2.8896 5.6808 1.9736
O 1.5718 2.4726 1.8130
O 4.2049 8.1518 2.0777
O 5.4228 4.4245 8.8697
O 4.5033 1.5992 9.1381
O 6.6859 6.8328 9.1099
O 5.0221 6.0018 3.6933
O 2.9157 0.6515 3.7033
O 4.1450 3.1445 3.9768
O 6.4041 7.2930 1.5355
O 4.9324 1.0491 5.5729
O 4.1820 1.3519 1.7527
O 5.5159 4.4830 1.8516
O 6.3707 4.2242 5.6521
O 7.6244 6.6944 5.7675
O 6.4133 2.3623 3.4483
O 7.6670 4.8325 3.5637
O 8.5218 4.5737 7.3642
O 9.8557 7.7048 7.4631
O 9.1053 8.0076 3.6429
O 7.6335 1.7637 7.6804
O 9.8927 5.9122 5.2390
O 11.1220 8.4052 5.5125
O 9.0155 3.0549 5.5226
O 7.3518 2.2239 0.1059
O 9.5344 7.4575 0.0777
O 8.6149 4.6322 0.3462
O 9.8328 0.9049 7.1381
O 12.4659 6.5841 7.4028
O 11.1481 3.3759 7.2422
```

Main lines, in order of rising 2θ (2θ from 5° to 70°):
| d/Å | Rel. int. |
| --- | --- |
| 5.135 | 100 |
| 4.397 | 45 |
| 3.942 | 37 |
| 2.651 | 19 |
| 2.645 | 9 |
| 2.564 | 9 |
| 2.355 | 36 |
| 2.352 | 23 |
| 1.843 | 32 |
| 1.531 | 9 |

5.
Computed PXRD pattern
Compound: Tm2CuO4
Radiation: Cu Kα (weighted mean of Kα1 and Kα2)
Structure: a cell relaxed with GGA-PBE
No peak broadening, texture or thermal motion is included.

Atomic structure:
```
14
Lattice="4.6714 0.0000 0.0000 0.0000 5.8343 0.0000 -1.3595 0.0000 5.8858" Properties=species:S:1:pos:R:3 pbc="T T T"
Tm 0.3402 0.2183 1.7944
Tm -0.3395 2.6988 4.7373
Tm 3.6514 3.1355 1.1485
Tm 2.9717 5.6160 4.0914
Cu 2.3357 0.0000 0.0000
Cu 1.6560 2.9171 2.9429
O -0.0224 4.0614 2.9477
O 0.6574 4.6900 0.0048
O 0.6287 0.6275 4.0874
O 1.3085 2.2896 1.1445
O 2.0035 3.5447 4.7413
O 2.6832 5.2068 1.7984
O 2.6546 1.1443 5.8810
O 3.3343 1.7729 2.9381
```

Main lines, in order of rising 2θ (2θ from 5° to 70°):
| d/Å | Rel. int. |
| --- | --- |
| 4.552 | 16 |
| 3.339 | 18 |
| 2.917 | 52 |
| 2.848 | 100 |
| 2.772 | 41 |
| 2.143 | 61 |
| 2.009 | 38 |
| 1.860 | 33 |
| 1.671 | 19 |
| 1.632 | 16 |